Diffraction record for Al4SbAs. The X-ray powder pattern is simulated, not measured: it uses DFT lattice parameters and positions (GGA-PBE) and CuKα.
Kinematic intensities with the Lorentz-polarization factor, no thermal factor.

Largest 12 diffraction maxima, in order of falling intensity, 2θ from 15° to 90°:
- d 2.334, 38.57°, rel. 100.0
- d 2.737, 32.71°, rel. 80.1
- d 4.470, 19.86°, rel. 37.8
- d 1.490, 62.31°, rel. 31.8
- d 1.580, 58.39°, rel. 29.7
- d 1.369, 68.56°, rel. 21.7
- d 1.224, 78.06°, rel. 12.7
- d 1.181, 81.52°, rel. 11.1
- d 2.235, 40.35°, rel. 10.2
- d 1.776, 51.44°, rel. 9.4
- d 1.309, 72.18°, rel. 6.7
- d 3.871, 22.97°, rel. 4.7

```
6
Lattice="0.000 3.871 3.871 3.871 0.000 3.871 3.871 3.871 0.000" Properties=species:S:1:pos:R:3 pbc="T T T"
Al 0.967 0.967 0.967
Al 2.904 2.904 0.967
Al 2.904 0.967 2.904
Al 0.967 2.904 2.904
Sb 3.871 3.871 3.871
As 5.807 5.807 5.807
```

---

Diffraction record for Sr3Al2As4. The X-ray powder pattern is simulated, not measured: it uses DFT lattice parameters and positions (GGA-PBE) and CuKα.
Kinematic intensities with the Lorentz-polarization factor, no thermal factor.

Largest 12 diffraction maxima, in order of falling intensity, 2θ from 15° to 90°:
- d 2.638, 33.98°, rel. 100.0
- d 3.406, 26.16°, rel. 85.5
- d 3.058, 29.20°, rel. 77.9
- d 3.440, 25.90°, rel. 60.9
- d 2.582, 34.75°, rel. 55.6
- d 3.575, 24.90°, rel. 48.7
- d 2.430, 37.00°, rel. 46.7
- d 2.421, 37.13°, rel. 46.7
- d 3.180, 28.06°, rel. 39.0
- d 2.155, 41.92°, rel. 35.8
- d 1.901, 47.85°, rel. 33.8
- d 2.412, 37.27°, rel. 32.6

```
18
Lattice="6.817 -5.272 0.000 6.817 5.272 0.000 -0.050 0.000 6.879" Properties=species:S:1:pos:R:3 pbc="T T T"
Sr 6.779 4.240 5.160
Sr 5.116 1.361 3.174
Sr 8.492 1.361 0.266
Sr 5.091 -1.361 6.613
Sr 8.467 -1.361 3.706
Sr 6.804 -4.240 1.720
Al 2.751 1.302 6.322
Al 2.776 -1.302 2.882
Al 10.807 1.302 3.997
Al 10.832 -1.302 0.558
As 2.135 0.869 3.949
As 5.190 1.851 6.712
As 2.160 -0.869 0.509
As 8.369 1.851 3.607
As 5.215 -1.851 3.273
As 11.423 0.869 6.370
As 8.394 -1.851 0.167
As 11.448 -0.869 2.930
```

---

Diffraction record for Sr3AlAs3. The X-ray powder pattern is simulated, not measured: it uses DFT lattice parameters and positions (GGA-PBE) and CuKα.
Kinematic intensities with the Lorentz-polarization factor, no thermal factor.

Largest 12 diffraction maxima, in order of falling intensity, 2θ from 15° to 90°:
- d 3.221, 27.69°, rel. 100.0
- d 3.200, 27.88°, rel. 91.4
- d 2.270, 39.71°, rel. 80.3
- d 2.301, 39.16°, rel. 63.0
- d 3.311, 26.93°, rel. 60.7
- d 2.309, 39.02°, rel. 58.4
- d 3.042, 29.36°, rel. 42.1
- d 1.872, 48.64°, rel. 37.7
- d 2.671, 33.55°, rel. 22.5
- d 2.630, 34.10°, rel. 18.8
- d 1.439, 64.78°, rel. 16.5
- d 2.525, 35.56°, rel. 16.1

```
28
Lattice="9.662 -3.311 0.000 9.662 3.311 0.000 0.000 0.000 12.798" Properties=species:S:1:pos:R:3 pbc="T T T"
Sr 6.241 2.064 1.675
Sr 6.241 1.247 8.073
Sr 9.662 2.150 10.872
Sr 9.662 1.161 4.473
Sr 13.083 2.064 1.675
Sr 13.083 1.247 8.073
Sr 6.241 -1.247 4.724
Sr 6.241 -2.064 11.123
Sr 9.662 -1.161 8.324
Sr 9.662 -2.150 1.926
Sr 13.083 -1.247 4.724
Sr 13.083 -2.064 11.123
Al 1.640 0.000 6.399
Al 8.022 0.000 0.000
Al 11.302 0.000 0.000
Al 17.684 0.000 6.399
As 6.593 1.954 4.857
As 6.593 1.357 11.255
As 9.662 1.925 7.716
As 9.662 1.386 1.317
As 12.731 1.954 4.857
As 12.731 1.357 11.255
As 6.593 -1.357 1.542
As 6.593 -1.954 7.941
As 9.662 -1.386 11.481
As 9.662 -1.925 5.082
As 12.731 -1.357 1.542
As 12.731 -1.954 7.941
```

---

> What is the formula in the first record?

Al4SbAs